[1]
# Mo3Ru2N
Computed powder diffractogram, Cu Kα. Input: DFT lattice parameters and positions (GGA-PBE).
No peak broadening, texture or thermal motion is included.

Cell and atoms:
```
data_Mo3Ru2N
_chemical_formula_sum 'Mo12 Ru8 N4'
_cell_length_a 6.845
_cell_length_b 6.845
_cell_length_c 6.845
_cell_angle_alpha 90.00
_cell_angle_beta 90.00
_cell_angle_gamma 90.00
_space_group_name_H-M_alt 'P 41 3 2'
_space_group_IT_number 213
_space_group_name_Hall 'P 4bd 2ab 3'
loop_
_atom_site_label
_atom_site_type_symbol
_atom_site_fract_x
_atom_site_fract_y
_atom_site_fract_z
Mo1 Mo 0.045 0.125 0.795
Ru1 Ru 0.065 0.935 0.435
N1 N 0.125 0.375 0.625
```

Most intense lines, 10° ≤ 2θ ≤ 90°, sorted by position:
d 2.282, 39.49 deg, rel. 100.0; d 2.165, 41.73 deg, rel. 54.9; d 2.064, 43.87 deg, rel. 25.0; d 1.829, 49.84 deg, rel. 10.8; d 1.342, 70.09 deg, rel. 26.6; d 1.271, 74.67 deg, rel. 23.1

[2]
# Pu6Ge3C
Computed powder diffractogram, Cu Kα. Input: DFT lattice parameters and positions (GGA-PBE).
No peak broadening, texture or thermal motion is included.

Cell and atoms:
```
data_Pu6Ge3C
_chemical_formula_sum 'Pu12 Ge6 C2'
_cell_length_a 10.469
_cell_length_b 6.049
_cell_length_c 7.092
_cell_angle_alpha 90.00
_cell_angle_beta 102.09
_cell_angle_gamma 90.00
_space_group_name_H-M_alt 'C 1 2/m 1'
_space_group_IT_number 12
loop_
_space_group_symop_operation_xyz
'x,y,z'
'-x,-y,-z'
'-x,y,-z'
'x,-y,z'
'x+1/2,y+1/2,z'
'-x+1/2,-y+1/2,-z'
'-x+1/2,y+1/2,-z'
'x+1/2,-y+1/2,z'
loop_
_atom_site_label
_atom_site_type_symbol
_atom_site_fract_x
_atom_site_fract_y
_atom_site_fract_z
Pu1 Pu 0.118 0.234 0.362
Pu2 Pu 0.132 0.500 0.856
Ge1 Ge 0.000 0.000 0.000
Ge2 Ge 0.160 0.000 0.744
C1 C 0.000 0.500 0.500
```

Most intense lines, 10° ≤ 2θ ≤ 90°, sorted by position:
d 3.199, 27.89 deg, rel. 99.2; d 2.772, 32.29 deg, rel. 82.9; d 2.627, 34.14 deg, rel. 92.4; d 2.559, 35.06 deg, rel. 72.9; d 2.528, 35.51 deg, rel. 89.0; d 2.356, 38.19 deg, rel. 100.0

[3]
# Pm2SmDy2Tm2
Computed powder diffractogram, Cu Kα. Input: DFT lattice parameters and positions (GGA-PBE).
No peak broadening, texture or thermal motion is included.

Cell and atoms:
```
data_Pm2SmDy2Tm2
_chemical_formula_sum 'Pm4 Sm2 Dy4 Tm4'
_cell_length_a 17.638
_cell_length_b 3.494
_cell_length_c 8.446
_cell_angle_alpha 90.00
_cell_angle_beta 116.99
_cell_angle_gamma 90.00
_space_group_name_H-M_alt 'C 1 2/m 1'
_space_group_IT_number 12
loop_
_space_group_symop_operation_xyz
'x,y,z'
'-x,-y,-z'
'-x,y,-z'
'x,-y,z'
'x+1/2,y+1/2,z'
'-x+1/2,-y+1/2,-z'
'-x+1/2,y+1/2,-z'
'x+1/2,-y+1/2,z'
loop_
_atom_site_label
_atom_site_type_symbol
_atom_site_fract_x
_atom_site_fract_y
_atom_site_fract_z
Pm1 Pm 0.148 0.000 0.387
Sm1 Sm 0.000 0.500 0.500
Dy1 Dy 0.071 0.000 0.906
Tm1 Tm 0.212 0.500 0.800
```

Most intense lines, 10° ≤ 2θ ≤ 90°, sorted by position:
d 3.228, 27.63 deg, rel. 43.5; d 2.918, 30.64 deg, rel. 100.0; d 2.757, 32.48 deg, rel. 39.5; d 2.645, 33.89 deg, rel. 51.0; d 2.508, 35.81 deg, rel. 43.5; d 1.720, 53.25 deg, rel. 29.9

[4]
# CeSb2As2Pd7
Computed powder diffractogram, Cu Kα. Input: DFT lattice parameters and positions (GGA-PBE).
No peak broadening, texture or thermal motion is included.

Cell and atoms:
```
data_CeSb2As2Pd7
_chemical_formula_sum 'Ce2 Sb4 As4 Pd14'
_cell_length_a 5.668
_cell_length_b 5.669
_cell_length_c 15.642
_cell_angle_alpha 90.00
_cell_angle_beta 100.40
_cell_angle_gamma 90.00
_space_group_name_H-M_alt 'C 1 2/m 1'
_space_group_IT_number 12
loop_
_space_group_symop_operation_xyz
'x,y,z'
'-x,-y,-z'
'-x,y,-z'
'x,-y,z'
'x+1/2,y+1/2,z'
'-x+1/2,-y+1/2,-z'
'-x+1/2,y+1/2,-z'
'x+1/2,-y+1/2,z'
loop_
_atom_site_label
_atom_site_type_symbol
_atom_site_fract_x
_atom_site_fract_y
_atom_site_fract_z
Ce1 Ce 0.000 0.000 0.000
Sb1 Sb 0.213 0.000 0.427
As1 As 0.118 0.500 0.240
Pd1 Pd 0.000 0.500 0.000
Pd2 Pd 0.180 0.250 0.857
Pd3 Pd 0.199 0.500 0.399
```

Most intense lines, 10° ≤ 2θ ≤ 90°, sorted by position:
d 2.787, 32.11 deg, rel. 51.3; d 2.659, 33.70 deg, rel. 44.3; d 2.481, 36.21 deg, rel. 89.7; d 2.282, 39.50 deg, rel. 52.9; d 2.085, 43.41 deg, rel. 80.4; d 2.004, 45.25 deg, rel. 100.0

[5]
# LiMg7Sc3
Computed powder diffractogram, Cu Kα. Input: DFT lattice parameters and positions (GGA-PBE).
No peak broadening, texture or thermal motion is included.

Cell and atoms:
```
data_LiMg7Sc3
_chemical_formula_sum 'Li4 Mg28 Sc12'
_cell_length_a 3.117
_cell_length_b 21.561
_cell_length_c 15.392
_cell_angle_alpha 90.00
_cell_angle_beta 90.00
_cell_angle_gamma 90.00
_space_group_name_H-M_alt 'C m c m'
_space_group_IT_number 63
_space_group_name_Hall '-C 2c 2'
loop_
_atom_site_label
_atom_site_type_symbol
_atom_site_fract_x
_atom_site_fract_y
_atom_site_fract_z
Li1 Li 0.000 0.111 0.250
Mg1 Mg 0.000 0.298 0.073
Mg2 Mg 0.000 0.333 0.610
Mg3 Mg 0.000 0.397 0.250
Mg4 Mg 0.000 0.478 0.641
Sc1 Sc 0.000 0.077 0.530
Sc2 Sc 0.000 0.249 0.250
```

Most intense lines, 10° ≤ 2θ ≤ 90°, sorted by position:
d 2.960, 30.19 deg, rel. 52.3; d 2.863, 31.24 deg, rel. 53.8; d 2.626, 34.14 deg, rel. 100.0; d 2.544, 35.28 deg, rel. 49.3; d 2.526, 35.53 deg, rel. 52.1; d 2.496, 35.98 deg, rel. 62.6

[6]
# CsS8
Computed powder diffractogram, Cu Kα. Input: DFT lattice parameters and positions (GGA-PBE).
No peak broadening, texture or thermal motion is included.

Cell and atoms:
```
data_CsS8
_chemical_formula_sum 'Cs1 S8'
_cell_length_a 4.518
_cell_length_b 6.563
_cell_length_c 8.577
_cell_angle_alpha 89.97
_cell_angle_beta 84.32
_cell_angle_gamma 77.45
_space_group_name_H-M_alt 'P -1'
_space_group_IT_number 2
loop_
_space_group_symop_operation_xyz
'x,y,z'
'-x,-y,-z'
loop_
_atom_site_label
_atom_site_type_symbol
_atom_site_fract_x
_atom_site_fract_y
_atom_site_fract_z
Cs1 Cs 0.000 0.000 0.000
S1 S 0.034 0.388 0.347
S2 S 0.176 0.659 0.433
S3 S 0.324 0.441 0.045
S4 S 0.393 0.949 0.591
```

Most intense lines, 10° ≤ 2θ ≤ 90°, sorted by position:
d 4.266, 20.82 deg, rel. 81.1; d 3.782, 23.52 deg, rel. 49.5; d 3.202, 27.86 deg, rel. 31.8; d 3.172, 28.13 deg, rel. 100.0; d 2.991, 29.88 deg, rel. 33.1; d 2.792, 32.06 deg, rel. 35.1

[7]
# PmYTmTh2
Computed powder diffractogram, Cu Kα. Input: DFT lattice parameters and positions (GGA-PBE).
No peak broadening, texture or thermal motion is included.

Cell and atoms:
```
data_PmYTmTh2
_chemical_formula_sum 'Pm4 Y4 Tm4 Th8'
_cell_length_a 6.670
_cell_length_b 15.594
_cell_length_c 6.673
_cell_angle_alpha 90.00
_cell_angle_beta 90.00
_cell_angle_gamma 90.00
_space_group_name_H-M_alt 'C m c m'
_space_group_IT_number 63
_space_group_name_Hall '-C 2c 2'
loop_
_atom_site_label
_atom_site_type_symbol
_atom_site_fract_x
_atom_site_fract_y
_atom_site_fract_z
Pm1 Pm 0.000 0.152 0.250
Y1 Y 0.000 0.253 0.750
Tm1 Tm 0.000 0.349 0.250
Th1 Th 0.248 0.500 0.000
```

Most intense lines, 10° ≤ 2θ ≤ 90°, sorted by position:
d 7.797, 11.35 deg, rel. 31.5; d 3.067, 29.12 deg, rel. 100.0; d 2.601, 34.49 deg, rel. 40.9; d 2.534, 35.42 deg, rel. 53.2; d 2.359, 38.15 deg, rel. 43.4; d 1.747, 52.37 deg, rel. 34.7

[8]
# Rb3Ba2S2I3
Computed powder diffractogram, Cu Kα. Input: DFT lattice parameters and positions (GGA-PBE).
No peak broadening, texture or thermal motion is included.

Cell and atoms:
```
data_Rb3Ba2S2I3
_chemical_formula_sum 'Rb6 Ba4 S4 I6'
_cell_length_a 5.796
_cell_length_b 5.796
_cell_length_c 30.899
_cell_angle_alpha 90.00
_cell_angle_beta 90.00
_cell_angle_gamma 90.00
_space_group_name_H-M_alt 'I 4/m m m'
_space_group_IT_number 139
_space_group_name_Hall '-I 4 2'
loop_
_atom_site_label
_atom_site_type_symbol
_atom_site_fract_x
_atom_site_fract_y
_atom_site_fract_z
Rb1 Rb 0.000 0.000 0.000
Rb2 Rb 0.000 0.000 0.385
Ba1 Ba 0.000 0.500 0.250
S1 S 0.000 0.000 0.282
I1 I 0.000 0.000 0.125
I2 I 0.000 0.000 0.500
```

Most intense lines, 10° ≤ 2θ ≤ 90°, sorted by position:
d 4.098, 21.69 deg, rel. 52.0; d 3.961, 22.45 deg, rel. 88.9; d 3.862, 23.03 deg, rel. 87.0; d 3.620, 24.59 deg, rel. 67.9; d 2.898, 30.86 deg, rel. 100.0; d 2.318, 38.85 deg, rel. 87.5

[9]
# Tm5CdHg8
Computed powder diffractogram, Cu Kα. Input: DFT lattice parameters and positions (GGA-PBE).
No peak broadening, texture or thermal motion is included.

Cell and atoms:
```
data_Tm5CdHg8
_chemical_formula_sum 'Tm10 Cd2 Hg16'
_cell_length_a 8.905
_cell_length_b 8.905
_cell_length_c 8.907
_cell_angle_alpha 90.00
_cell_angle_beta 90.00
_cell_angle_gamma 90.00
_space_group_name_H-M_alt 'I -4'
_space_group_IT_number 82
loop_
_space_group_symop_operation_xyz
'x,y,z'
'y,-x,-z'
'-x,-y,z'
'-y,x,-z'
'x+1/2,y+1/2,z+1/2'
'y+1/2,-x+1/2,-z+1/2'
'-x+1/2,-y+1/2,z+1/2'
'-y+1/2,x+1/2,-z+1/2'
loop_
_atom_site_label
_atom_site_type_symbol
_atom_site_fract_x
_atom_site_fract_y
_atom_site_fract_z
Tm1 Tm 0.000 0.000 0.000
Tm2 Tm 0.121 0.737 0.644
Cd1 Cd 0.000 0.500 0.250
Hg1 Hg 0.078 0.831 0.309
Hg2 Hg 0.088 0.668 0.976
```

Most intense lines, 10° ≤ 2θ ≤ 90°, sorted by position:
d 2.816, 31.77 deg, rel. 100.0; d 2.380, 37.80 deg, rel. 93.2; d 1.818, 50.19 deg, rel. 21.5; d 1.747, 52.39 deg, rel. 16.1; d 1.445, 64.50 deg, rel. 28.5; d 1.374, 68.25 deg, rel. 14.8

[10]
# GaAg5Au5
Computed powder diffractogram, Cu Kα. Input: DFT lattice parameters and positions (GGA-PBE).
No peak broadening, texture or thermal motion is included.

Cell and atoms:
```
data_GaAg5Au5
_chemical_formula_sum 'Ga2 Ag10 Au10'
_cell_length_a 16.093
_cell_length_b 4.981
_cell_length_c 5.771
_cell_angle_alpha 90.00
_cell_angle_beta 110.95
_cell_angle_gamma 90.00
_space_group_name_H-M_alt 'C 1 2/m 1'
_space_group_IT_number 12
loop_
_space_group_symop_operation_xyz
'x,y,z'
'-x,-y,-z'
'-x,y,-z'
'x,-y,z'
'x+1/2,y+1/2,z'
'-x+1/2,-y+1/2,-z'
'-x+1/2,y+1/2,-z'
'x+1/2,-y+1/2,z'
loop_
_atom_site_label
_atom_site_type_symbol
_atom_site_fract_x
_atom_site_fract_y
_atom_site_fract_z
Ga1 Ga 0.000 0.000 0.000
Ag1 Ag 0.000 0.000 0.500
Ag2 Ag 0.163 0.500 0.663
Ag3 Ag 0.183 0.500 0.183
Au1 Au 0.000 0.500 0.000
Au2 Au 0.157 0.000 0.402
Au3 Au 0.157 0.000 0.912
```

Most intense lines, 10° ≤ 2θ ≤ 90°, sorted by position:
d 2.505, 35.85 deg, rel. 56.2; d 2.490, 36.06 deg, rel. 62.5; d 2.463, 36.48 deg, rel. 39.7; d 2.288, 39.37 deg, rel. 22.5; d 2.235, 40.36 deg, rel. 100.0; d 1.766, 51.76 deg, rel. 39.0

[11]
# Ho3CCl3
Computed powder diffractogram, Cu Kα. Input: DFT lattice parameters and positions (GGA-PBE).
No peak broadening, texture or thermal motion is included.

Cell and atoms:
```
data_Ho3CCl3
_chemical_formula_sum 'Ho6 C2 Cl6'
_cell_length_a 7.889
_cell_length_b 3.684
_cell_length_c 10.742
_cell_angle_alpha 90.00
_cell_angle_beta 92.62
_cell_angle_gamma 90.00
_space_group_name_H-M_alt 'P 1 21/m 1'
_space_group_IT_number 11
loop_
_space_group_symop_operation_xyz
'x,y,z'
'-x,-y,-z'
'-x,y+1/2,-z'
'x,-y+1/2,z'
loop_
_atom_site_label
_atom_site_type_symbol
_atom_site_fract_x
_atom_site_fract_y
_atom_site_fract_z
Ho1 Ho 0.090 0.250 0.391
Ho2 Ho 0.125 0.250 0.840
Ho3 Ho 0.322 0.750 0.624
C1 C 0.126 0.250 0.623
Cl1 Cl 0.126 0.250 0.123
Cl2 Cl 0.375 0.750 0.876
Cl3 Cl 0.379 0.750 0.372
```

Most intense lines, 10° ≤ 2θ ≤ 90°, sorted by position:
d 7.881, 11.23 deg, rel. 54.4; d 6.218, 14.25 deg, rel. 28.2; d 3.037, 29.41 deg, rel. 54.0; d 2.691, 33.30 deg, rel. 100.0; d 2.683, 33.40 deg, rel. 46.1; d 1.871, 48.67 deg, rel. 28.2

[12]
# PrTm5Cd4
Computed powder diffractogram, Cu Kα. Input: DFT lattice parameters and positions (GGA-PBE).
No peak broadening, texture or thermal motion is included.

Cell and atoms:
```
data_PrTm5Cd4
_chemical_formula_sum 'Pr1 Tm5 Cd4'
_cell_length_a 3.660
_cell_length_b 3.660
_cell_length_c 20.120
_cell_angle_alpha 90.00
_cell_angle_beta 90.00
_cell_angle_gamma 90.00
_space_group_name_H-M_alt 'P 4/m m m'
_space_group_IT_number 123
_space_group_name_Hall '-P 4 2'
loop_
_atom_site_label
_atom_site_type_symbol
_atom_site_fract_x
_atom_site_fract_y
_atom_site_fract_z
Pr1 Pr 0.000 0.000 0.000
Tm1 Tm 0.500 0.500 0.125
Tm2 Tm 0.500 0.500 0.313
Tm3 Tm 0.500 0.500 0.500
Cd1 Cd 0.000 0.000 0.219
Cd2 Cd 0.000 0.000 0.405
```

Most intense lines, 10° ≤ 2θ ≤ 90°, sorted by position:
d 2.708, 33.08 deg, rel. 100.0; d 2.588, 34.66 deg, rel. 56.7; d 2.473, 36.33 deg, rel. 15.6; d 1.830, 49.83 deg, rel. 25.0; d 1.516, 61.12 deg, rel. 33.7; d 1.294, 73.14 deg, rel. 12.4